The following is a simulated powder XRD pattern of Li4V3O4F8. It was derived from a GGA+U-relaxed structure, using a wavelength of 1.5418 Å.
Peak positions follow from Bragg's law for the DFT cell and can differ from measured ones.

Most intense lines, 10 to 90 degrees two-theta, by intensity:
| 2θ/deg | I_rel | index |
| --- | --- | --- |
| 19.15 | 1000 | 1 0 -1 |
| 13.75 | 814 | 0 0 1 |
| 25.62 | 567 | 1 -1 1 |
| 23.74 | 534 | 1 1 0 |
| 29.42 | 495 | 1 0 -2 |
| 30.18 | 480 | 1 1 1 |
| 32.51 | 404 | 0 2 -1 |
| 38.62 | 282 | 2 -1 1 |

Atomic structure:
```
data_Li4V3O4F8
_chemical_formula_sum 'Li4 V3 O4 F8'
_symmetry_space_group_name_H-M 'P 1'
_symmetry_Int_Tables_number 1
_cell_length_a 5.644
_cell_length_b 5.759
_cell_length_c 6.611
_cell_angle_alpha 97.73
_cell_angle_beta 99.79
_cell_angle_gamma 95.11
loop_
_symmetry_equiv_pos_as_xyz
'x,y,z'
loop_
_atom_site_label
_atom_site_type_symbol
_atom_site_fract_x
_atom_site_fract_y
_atom_site_fract_z
_atom_site_occupancy
Li1 Li 0.000 0.000 0.000 1
Li2 Li 0.184 0.285 0.634 1
Li3 Li 0.472 0.988 0.776 1
Li4 Li 0.713 0.479 0.845 1
V1 V 0.311 0.612 0.159 1
V2 V 0.616 0.188 0.295 1
V3 V 0.905 0.731 0.498 1
O1 O 0.165 0.668 0.408 1
O2 O 0.423 0.896 0.157 1
O3 O 0.639 0.528 0.307 1
O4 O 0.848 0.025 0.379 1
F1 F 0.127 0.976 0.740 1
F2 F 0.241 0.270 0.170 1
F3 F 0.382 0.488 0.886 1
F4 F 0.476 0.194 0.549 1
F5 F 0.686 0.791 0.696 1
F6 F 0.714 0.183 0.009 1
F7 F 0.917 0.446 0.637 1
F8 F 0.988 0.659 0.024 1
```